For SrNdMgCd, the GGA-PBE geometry in Alexandria gives the simulated powder diffractogram in this record (Cu Kα (weighted mean of Kα1 and Kα2)).
Kinematic intensities with the Lorentz-polarization factor, no thermal factor.

Structure:
a b c (Å): 4.004 4.004 7.934
angles (deg): 90.00 90.00 90.00
Atoms (fractional coordinates):
1 Sr 0.000 0.000 0.000
2 Nd 0.000 0.000 0.513
3 Mg 0.500 0.500 0.282
4 Cd 0.500 0.500 0.730

Most intense lines, 2θ from 10° to 80°, by intensity:
2theta, I (rel.)
31.75, 100
31.60, 53
56.37, 38
11.15, 33
45.30, 19
56.66, 17
75.05, 16
66.34, 10
33.61, 10
24.91, 10


For Nd4MgZn2Cd, the GGA-PBE geometry in Alexandria gives the simulated powder diffractogram in this record (Cu Kα (weighted mean of Kα1 and Kα2)).
Kinematic intensities with the Lorentz-polarization factor, no thermal factor.

Structure:
a b c (Å): 9.277 9.277 9.277
angles (deg): 33.44 33.44 33.44
Atoms (fractional coordinates):
1 Nd 0.124 0.124 0.124
2 Nd 0.375 0.375 0.375
3 Nd 0.625 0.625 0.625
4 Nd 0.876 0.876 0.876
5 Mg 0.500 0.500 0.500
6 Zn 0.246 0.246 0.246
7 Zn 0.754 0.754 0.754
8 Cd 0.000 0.000 0.000

Most intense lines, 2θ from 10° to 80°, by intensity:
2theta, I (rel.)
33.54, 100
60.01, 27
48.16, 18
23.54, 14
59.82, 9
70.59, 6
70.38, 6
41.42, 3
54.22, 3
54.35, 3


For Mg6Cd3Ni, the GGA-PBE geometry in Alexandria gives the simulated powder diffractogram in this record (Cu Kα (weighted mean of Kα1 and Kα2)).
Kinematic intensities with the Lorentz-polarization factor, no thermal factor.

Structure:
a b c (Å): 8.751 4.674 10.047
angles (deg): 90.00 101.26 90.00
Atoms (fractional coordinates):
1 Mg 0.053 0.250 0.408
2 Mg 0.178 0.750 0.189
3 Mg 0.298 0.250 0.010
4 Mg 0.365 0.250 0.309
5 Mg 0.371 0.750 0.837
6 Mg 0.434 0.250 0.625
7 Mg 0.566 0.750 0.375
8 Mg 0.629 0.250 0.163
9 Mg 0.635 0.750 0.691
10 Mg 0.702 0.750 0.990
11 Mg 0.822 0.250 0.811
12 Mg 0.947 0.750 0.592
13 Cd 0.039 0.750 0.898
14 Cd 0.139 0.250 0.720
15 Cd 0.266 0.750 0.499
16 Cd 0.734 0.250 0.501
17 Cd 0.861 0.750 0.280
18 Cd 0.961 0.250 0.102
19 Ni 0.451 0.750 0.116
20 Ni 0.549 0.250 0.884

Most intense lines, 2θ from 10° to 80°, by intensity:
2theta, I (rel.)
36.60, 100
36.43, 100
26.94, 71
24.19, 54
38.52, 47
38.41, 41
55.54, 26
68.42, 25
10.31, 21
46.00, 19


For MgCdPtO4, the GGA-PBE geometry in Alexandria gives the simulated powder diffractogram in this record (Cu Kα (weighted mean of Kα1 and Kα2)).
Kinematic intensities with the Lorentz-polarization factor, no thermal factor.

Structure:
a b c (Å): 6.319 6.319 6.319
angles (deg): 121.44 119.15 89.50
Atoms (fractional coordinates):
1 Mg 0.500 0.000 0.000
2 Mg 0.500 0.500 0.500
3 Cd 0.102 0.352 0.750
4 Cd 0.898 0.648 0.250
5 Pt 0.000 0.000 0.000
6 Pt 0.500 0.000 0.500
7 O 0.260 0.222 0.462
8 O 0.260 0.798 0.038
9 O 0.264 0.228 0.036
10 O 0.308 0.772 0.536
11 O 0.692 0.228 0.464
12 O 0.736 0.772 0.964
13 O 0.740 0.202 0.962
14 O 0.740 0.778 0.538

Most intense lines, 2θ from 10° to 80°, by intensity:
2theta, I (rel.)
33.07, 100
17.42, 64
33.27, 62
28.89, 42
58.44, 36
53.91, 29
28.26, 29
45.54, 24
34.42, 23
19.78, 23